No. 1
Starting from a DFT-relaxed cell (GGA-PBE, Alexandria), the powder diffractogram of SiSbIr was simulated for Cu Kα.

Principal peaks in the range 2θ = 10–90°, by angle:
d/Å, intensity
4.051, 100
3.154, 64
2.951, 37
2.940, 32
2.710, 29
2.169, 26
2.154, 36
2.012, 41
2.005, 33
1.810, 26

```
SiSbIr
1.0
6.3743 0.0000 0.0000
0.0000 6.3133 0.0000
-2.4013 0.0000 5.8800
Si Sb Ir
4 4 4
direct
0.1402 0.1545 0.3296
0.1402 0.3455 0.8296
0.8598 0.6545 0.1704
0.8598 0.8455 0.6704
0.3522 0.6139 0.6416
0.3522 0.8861 0.1416
0.6478 0.1139 0.8584
0.6478 0.3861 0.3584
0.2075 0.0136 0.6976
0.2075 0.4864 0.1976
0.7925 0.5136 0.8024
0.7925 0.9864 0.3024
```

No. 2
Starting from a DFT-relaxed cell (GGA-PBE, Alexandria), the powder diffractogram of SiSn2SbIr was simulated for Cu Kα.

Principal peaks in the range 2θ = 10–90°, by angle:
d/Å, intensity
2.897, 100
2.544, 22
2.493, 41
1.780, 30
1.762, 15
1.528, 15
1.506, 29
1.449, 15
1.155, 13
1.133, 7

```
SiSn2SbIr
1.0
4.9851 0.0000 0.0000
0.0000 4.9851 0.0000
0.0000 0.0000 5.0877
Si Sn Sb Ir
1 2 1 1
direct
0.0000 0.0000 0.0000
0.0000 0.5000 0.0000
0.5000 0.0000 0.0000
0.0000 0.0000 0.5000
0.5000 0.5000 0.5000
```

No. 3
Starting from a DFT-relaxed cell (GGA-PBE, Alexandria), the powder diffractogram of Sm5Sb2Ir was simulated for Cu Kα.

Principal peaks in the range 2θ = 10–90°, by angle:
d/Å, intensity
3.123, 56
2.947, 100
2.796, 65
2.739, 24
2.719, 30
2.516, 82
2.143, 40
1.998, 25
1.605, 27
1.369, 21

```
Sm5Sb2Ir
1.0
2.9470 -4.8568 0.0000
2.9470 4.8568 0.0000
0.0000 0.0000 16.3129
Sm Sb Ir
10 4 2
direct
0.0726 0.9274 0.5989
0.0726 0.9274 0.9011
0.2520 0.7480 0.2500
0.4071 0.5929 0.6262
0.4071 0.5929 0.8738
0.5929 0.4071 0.1262
0.5929 0.4071 0.3738
0.7480 0.2520 0.7500
0.9274 0.0726 0.0989
0.9274 0.0726 0.4011
0.2688 0.7312 0.0597
0.2688 0.7312 0.4403
0.7312 0.2688 0.5597
0.7312 0.2688 0.9403
0.1972 0.8028 0.7500
0.8028 0.1972 0.2500
```